Entry 1:
For Li4MgGePd2, the GGA-PBE geometry in OQMD gives the computed powder X-ray diffraction pattern in this record (copper Kα).
Neutral-atom scattering factors, no anomalous dispersion.

Atomic structure:
abc: 4.3960 4.3960 6.1188
angles: 90.00 90.00 90.00
Space group P-4m2 (No. 115)
Symmetry-distinct sites (fractional):
1 Li 0.0000 0.0000 0.0000 (multiplicity 1)
2 Li 0.0000 0.5000 0.7349 (multiplicity 2)
3 Li 0.5000 0.5000 0.5000 (multiplicity 1)
4 Mg 0.5000 0.5000 0.0000 (multiplicity 1)
5 Ge 0.0000 0.0000 0.5000 (multiplicity 1)
6 Pd 0.0000 0.5000 0.2718 (multiplicity 2)

Peak list (8 most intense, 5 to 70 degrees two-theta, by angle)
d_spacing  I (rel.)  h k l
6.119  11.2  0 0 1
3.570  100.0  1 0 1
2.198  29.9  2 0 0
2.180  55.6  1 1 2
1.872  31.8  2 1 1
1.850  13.4  1 0 3
1.554  9.8  2 2 0
1.415  10.9  2 1 3



Entry 2:
For LiNd4Ge4, the GGA-PBE geometry in OQMD gives the computed powder X-ray diffraction pattern in this record (copper Kα).
Neutral-atom scattering factors, no anomalous dispersion.

Atomic structure:
abc: 7.4194 15.2140 7.9957
angles: 90.00 90.00 90.00
Space group Pnma (No. 62)
Symmetry-distinct sites (fractional):
1 Li 0.1600 0.2500 0.0305 (multiplicity 4)
2 Nd 0.0225 0.6005 0.6888 (multiplicity 8)
3 Nd 0.1741 0.6282 0.1785 (multiplicity 8)
4 Ge 0.0157 0.2500 0.5790 (multiplicity 4)
5 Ge 0.1595 0.0362 0.9678 (multiplicity 8)
6 Ge 0.2253 0.7500 0.8668 (multiplicity 4)

Peak list (8 most intense, 5 to 70 degrees two-theta, by angle)
d_spacing  I (rel.)  h k l
3.286  23.6  2 1 1
2.891  69.8  1 3 2
2.804  100.0  2 3 1
2.756  54.7  0 4 2
2.583  42.1  1 4 2
2.475  21.9  1 1 3
2.363  35.2  3 0 1
1.636  29.2  3 4 3



Entry 3:
For LiNdGeO4, the GGA-PBE geometry in OQMD gives the computed powder X-ray diffraction pattern in this record (copper Kα).
Neutral-atom scattering factors, no anomalous dispersion.

Atomic structure:
abc: 5.1052 11.8802 5.3886
angles: 90.00 90.00 90.00
Space group Pbcn (No. 60)
Symmetry-distinct sites (fractional):
1 Li 0.0000 0.2327 0.2500 (multiplicity 4)
2 Nd 0.0000 0.1142 0.7500 (multiplicity 4)
3 Ge 0.0000 0.3908 0.7500 (multiplicity 4)
4 O 0.1770 0.2971 0.5464 (multiplicity 8)
5 O 0.2495 0.0414 0.4178 (multiplicity 8)

Peak list (8 most intense, 5 to 70 degrees two-theta, by angle)
d_spacing  I (rel.)  h k l
3.538  100.0  1 1 1
2.970  23.7  0 4 0
2.706  87.8  1 3 1
2.694  19.4  0 0 2
1.996  25.0  0 4 2
1.936  23.5  2 4 0
1.853  26.0  2 0 2
1.543  18.9  1 7 1



Entry 4:
For LiPrNi2Ge2, the GGA-PBE geometry in OQMD gives the computed powder X-ray diffraction pattern in this record (copper Kα).
Neutral-atom scattering factors, no anomalous dispersion.

Atomic structure:
abc: 4.1048 4.1048 6.7946
angles: 90.00 90.00 120.00
Space group P-3m1 (No. 164)
Symmetry-distinct sites (fractional):
1 Li 0.0000 0.0000 0.0000 (multiplicity 1)
2 Pr 0.0000 0.0000 0.5000 (multiplicity 1)
3 Ni 0.3333 0.6667 0.1430 (multiplicity 2)
4 Ge 0.3333 0.6667 0.7914 (multiplicity 2)

Peak list (8 most intense, 5 to 70 degrees two-theta, by angle)
d_spacing  I (rel.)  h k l
3.150  100.0  0 1 1
2.456  67.6  0 1 2
2.265  21.6  0 0 3
2.052  67.7  1 1 0
1.910  12.2  1 0 3
1.720  17.0  2 0 1
1.575  16.9  2 0 2
1.521  35.7  1 1 3



Entry 5:
For Li4NiGe2Pt, the GGA-PBE geometry in OQMD gives the computed powder X-ray diffraction pattern in this record (copper Kα).
Neutral-atom scattering factors, no anomalous dispersion.

Atomic structure:
abc: 4.1862 4.1862 5.9322
angles: 90.00 90.00 90.00
Space group P-4m2 (No. 115)
Symmetry-distinct sites (fractional):
1 Li 0.0000 0.0000 0.0000 (multiplicity 1)
2 Li 0.0000 0.5000 0.7432 (multiplicity 2)
3 Li 0.5000 0.5000 0.5000 (multiplicity 1)
4 Ni 0.0000 0.0000 0.5000 (multiplicity 1)
5 Ge 0.0000 0.5000 0.2666 (multiplicity 2)
6 Pt 0.5000 0.5000 0.0000 (multiplicity 1)

Peak list (8 most intense, 5 to 70 degrees two-theta, by angle)
d_spacing  I (rel.)  h k l
5.932  12.9  0 0 1
4.186  15.7  1 0 0
3.420  100.0  1 0 1
2.649  12.7  1 1 1
2.094  87.6  2 0 0
1.786  46.9  2 1 1
1.480  9.6  2 2 0
1.359  18.6  3 0 1



Entry 6:
For Li4TaGeO6, the GGA-PBE geometry in OQMD gives the computed powder X-ray diffraction pattern in this record (copper Kα).
Neutral-atom scattering factors, no anomalous dispersion.

Atomic structure:
abc: 5.1767 8.9498 5.0617
angles: 90.00 110.07 90.00
Space group C2 (No. 5)
Symmetry-distinct sites (fractional):
1 Li 0.0000 0.0000 0.0000 (multiplicity 2)
2 Li 0.0000 0.1547 0.5000 (multiplicity 2)
3 Li 0.0000 0.3166 0.0000 (multiplicity 2)
4 Li 0.0000 0.6452 0.0000 (multiplicity 2)
5 Ta 0.0000 0.8214 0.5000 (multiplicity 2)
6 Ge 0.0000 0.4861 0.5000 (multiplicity 2)
7 O 0.2287 0.6545 0.7365 (multiplicity 4)
8 O 0.2465 0.4798 0.2667 (multiplicity 4)
9 O 0.2479 0.8299 0.2680 (multiplicity 4)

Peak list (8 most intense, 5 to 70 degrees two-theta, by angle)
d_spacing  I (rel.)  h k l
4.754  100.0  0 0 1
4.475  32.6  0 2 0
4.272  56.1  1 1 0
3.798  42.2  1 1 -1
3.259  29.6  0 2 1
2.544  55.1  1 3 0
2.098  32.3  2 0 -2
2.092  48.1  1 3 1



Entry 7:
For LiGe4Pd6, the GGA-PBE geometry in OQMD gives the computed powder X-ray diffraction pattern in this record (copper Kα).
Neutral-atom scattering factors, no anomalous dispersion.

Atomic structure:
abc: 5.5374 5.5374 20.0438
angles: 90.00 90.00 120.00
Space group R-3m (No. 166, hexagonal axes)
Symmetry-distinct sites (fractional):
1 Li 0.0000 0.0000 0.0000 (multiplicity 3)
2 Ge 0.0000 0.0000 0.1305 (multiplicity 6)
3 Ge 0.0000 0.0000 0.3310 (multiplicity 6)
4 Pd 0.0028 0.5014 0.1007 (multiplicity 18)

Peak list (8 most intense, 5 to 70 degrees two-theta, by angle)
d_spacing  I (rel.)  h k l
6.681  29.4  0 0 3
4.664  28.4  1 0 1
2.381  72.5  0 2 1
2.227  37.1  0 0 9
2.163  96.7  0 2 4
2.132  42.9  1 1 6
2.058  100.0  2 0 5
1.384  37.0  2 2 0



Entry 8:
For Li4GeSbPd2, the GGA-PBE geometry in OQMD gives the computed powder X-ray diffraction pattern in this record (copper Kα).
Neutral-atom scattering factors, no anomalous dispersion.

Atomic structure:
abc: 4.3709 4.3709 6.2801
angles: 90.00 90.00 90.00
Space group P-4m2 (No. 115)
Symmetry-distinct sites (fractional):
1 Li 0.0000 0.0000 0.0000 (multiplicity 1)
2 Li 0.0000 0.5000 0.2307 (multiplicity 2)
3 Li 0.5000 0.5000 0.5000 (multiplicity 1)
4 Ge 0.5000 0.5000 0.0000 (multiplicity 1)
5 Sb 0.0000 0.0000 0.5000 (multiplicity 1)
6 Pd 0.0000 0.5000 0.7689 (multiplicity 2)

Peak list (8 most intense, 5 to 70 degrees two-theta, by angle)
d_spacing  I (rel.)  h k l
3.588  100.0  1 0 1
2.203  62.2  1 1 2
2.185  31.3  2 0 0
1.888  15.2  1 0 3
1.866  31.3  2 1 1
1.545  10.3  2 2 0
1.429  12.0  2 1 3
1.419  6.2  3 0 1



Entry 9:
For LiScGePd, the GGA-PBE geometry in OQMD gives the computed powder X-ray diffraction pattern in this record (copper Kα).
Neutral-atom scattering factors, no anomalous dispersion.

Atomic structure:
abc: 4.4446 4.4446 6.2857
angles: 90.00 90.00 90.00
Space group P-4m2 (No. 115)
Symmetry-distinct sites (fractional):
1 Li 0.0000 0.0000 0.0000 (multiplicity 1)
2 Li 0.5000 0.5000 0.5000 (multiplicity 1)
3 Sc 0.0000 0.5000 0.2501 (multiplicity 2)
4 Ge 0.0000 0.5000 0.7491 (multiplicity 2)
5 Pd 0.0000 0.0000 0.5000 (multiplicity 1)
6 Pd 0.5000 0.5000 0.0000 (multiplicity 1)

Peak list (5 most intense, 5 to 70 degrees two-theta, by angle)
d_spacing  I (rel.)  h k l
3.629  54.5  1 0 1
2.222  100.0  2 0 0
1.895  26.4  2 1 1
1.571  16.2  2 2 0
1.442  10.7  3 0 1



Entry 10:
For Li2SiGePd2, the GGA-PBE geometry in OQMD gives the computed powder X-ray diffraction pattern in this record (copper Kα).
Neutral-atom scattering factors, no anomalous dispersion.

Atomic structure:
abc: 4.3234 4.3234 5.3319
angles: 90.00 90.00 120.00
Space group P-6m2 (No. 187)
Symmetry-distinct sites (fractional):
1 Li 0.0000 0.0000 0.2480 (multiplicity 2)
2 Si 0.3333 0.6667 0.0000 (multiplicity 1)
3 Ge 0.6667 0.3333 0.5000 (multiplicity 1)
4 Pd 0.3333 0.6667 0.5000 (multiplicity 1)
5 Pd 0.6667 0.3333 0.0000 (multiplicity 1)

Peak list (8 most intense, 5 to 70 degrees two-theta, by angle)
d_spacing  I (rel.)  h k l
3.744  100.0  1 0 0
3.064  49.2  1 0 1
2.666  54.0  0 0 2
2.172  56.8  1 0 2
2.162  99.7  1 1 0
1.872  14.1  2 0 0
1.679  78.5  1 1 2
1.532  18.5  2 0 2



Entry 11:
For Li4ZnGePd2, the GGA-PBE geometry in OQMD gives the computed powder X-ray diffraction pattern in this record (copper Kα).
Neutral-atom scattering factors, no anomalous dispersion.

Atomic structure:
abc: 4.3115 4.3115 6.0055
angles: 90.00 90.00 90.00
Space group P-4m2 (No. 115)
Symmetry-distinct sites (fractional):
1 Li 0.0000 0.0000 0.0000 (multiplicity 1)
2 Li 0.0000 0.5000 0.2490 (multiplicity 2)
3 Li 0.5000 0.5000 0.5000 (multiplicity 1)
4 Zn 0.5000 0.5000 0.0000 (multiplicity 1)
5 Ge 0.0000 0.0000 0.5000 (multiplicity 1)
6 Pd 0.0000 0.5000 0.7375 (multiplicity 2)

Peak list (8 most intense, 5 to 70 degrees two-theta, by angle)
d_spacing  I (rel.)  h k l
3.502  100.0  1 0 1
2.156  31.4  2 0 0
2.139  60.5  1 1 2
1.836  31.4  2 1 1
1.816  14.6  1 0 3
1.524  10.2  2 2 0
1.398  6.2  3 0 1
1.389  11.7  2 1 3



Entry 12:
For Li4Pm3Ge4, the GGA-PBE geometry in OQMD gives the computed powder X-ray diffraction pattern in this record (copper Kα).
Neutral-atom scattering factors, no anomalous dispersion.

Atomic structure:
abc: 4.3974 6.7944 14.6167
angles: 90.00 90.00 90.00
Space group Immm (No. 71)
Symmetry-distinct sites (fractional):
1 Li 0.0000 0.1898 0.1713 (multiplicity 8)
2 Pm 0.0000 0.0000 0.3696 (multiplicity 4)
3 Pm 0.0000 0.5000 0.5000 (multiplicity 2)
4 Ge 0.0000 0.3128 0.0000 (multiplicity 4)
5 Ge 0.0000 0.5000 0.2862 (multiplicity 4)

Peak list (8 most intense, 5 to 70 degrees two-theta, by angle)
d_spacing  I (rel.)  h k l
4.211  24.0  1 0 1
3.397  32.3  0 2 0
3.264  24.9  1 0 3
2.685  25.1  0 1 5
2.644  73.5  1 2 1
2.597  100.0  1 1 4
2.199  25.8  2 0 0
1.389  24.0  2 3 5



> Number 10 is which compound?

Li2SiGePd2